Record 1
Starting from a crystal structure in Alexandria, relaxed with PBE, the X-ray diffraction stick pattern of La12Y5Er2 was computed for Cu Kα, 1.54184 Å.

Lattice parameters (Å, degrees): 5.304 10.570 24.335 90.00 90.00 90.00
Space group Immm (No. 71)
Unique sites:
La 0.000 0.000 0.085
La 0.000 0.244 0.195
La 0.000 0.258 0.407
La 0.000 0.500 0.102
Y 0.000 0.000 0.301
Y 0.000 0.000 0.500
Y 0.000 0.500 0.301
Er 0.000 0.282 0.000

Peak list (6 most intense, 2θ from 10° to 90°, by angle)
- (1 2 5), 2θ 30.12, I 100
- (2 0 0), 2θ 33.80, I 20
- (0 4 0), 2θ 33.92, I 19
- (0 0 10), 2θ 36.94, I 13
- (2 0 10), 2θ 50.97, I 20
- (3 2 5), 2θ 58.20, I 15


Record 2
Starting from a crystal structure in Alexandria, relaxed with PBE, the X-ray diffraction stick pattern of La5Y2Er2 was computed for Cu Kα, 1.54184 Å.

Lattice parameters (Å, degrees): 32.835 5.196 3.662 90.00 96.36 90.00
Space group C2/m (No. 12)
Unique sites:
La 0.000 0.000 0.000
La 0.057 0.500 0.558
La 0.223 0.000 0.223
Y 0.166 0.500 0.666
Er 0.113 0.000 0.113

Peak list (6 most intense, 2θ from 10° to 90°, by angle)
- (1 1 -1), 2θ 29.85, I 100
- (9 1 0), 2θ 30.05, I 98
- (0 2 0), 2θ 34.53, I 34
- (8 0 1), 2θ 34.82, I 66
- (2 0 -2), 2θ 49.84, I 60
- (7 1 2), 2θ 59.27, I 28


Record 3
Starting from a crystal structure in Alexandria, relaxed with PBE, the X-ray diffraction stick pattern of LaY3Er4 was computed for Cu Kα, 1.54184 Å.

Lattice parameters (Å, degrees): 11.319 7.293 6.277 90.00 90.00 90.00
Space group Pmn2_1 (No. 31)
Unique sites:
La 0.000 0.128 0.000
Y 0.000 0.871 0.503
Y 0.249 0.128 0.340
Er 0.000 0.380 0.507
Er 0.000 0.622 0.007
Er 0.248 0.622 0.339

Peak list (6 most intense, 2θ from 10° to 90°, by angle)
- (0 2 1), 2θ 28.30, I 24
- (4 0 0), 2θ 31.62, I 36
- (2 2 1), 2θ 32.51, I 100
- (2 0 2), 2θ 32.63, I 49
- (4 0 2), 2θ 42.98, I 25
- (6 2 1), 2θ 56.90, I 30


Record 4
Starting from a crystal structure in Alexandria, relaxed with PBE, the X-ray diffraction stick pattern of LaY7Er2 was computed for Cu Kα, 1.54184 Å.

Lattice parameters (Å, degrees): 5.471 7.098 16.784 90.00 90.00 90.00
Space group Immm (No. 71)
Unique sites:
La 0.000 0.000 0.000
Y 0.000 0.000 0.201
Y 0.000 0.247 0.389
Y 0.000 0.500 0.000
Er 0.000 0.500 0.200

Peak list (6 most intense, 2θ from 10° to 90°, by angle)
- (1 2 1), 2θ 30.49, I 80
- (1 0 5), 2θ 31.26, I 100
- (2 0 0), 2θ 32.74, I 46
- (0 2 4), 2θ 33.06, I 39
- (2 2 4), 2θ 47.21, I 28
- (1 4 5), 2θ 61.49, I 34


Record 5
Starting from a crystal structure in Alexandria, relaxed with PBE, the X-ray diffraction stick pattern of La2Y5Er2 was computed for Cu Kα, 1.54184 Å.

Lattice parameters (Å, degrees): 14.990 11.939 6.789 90.00 90.00 90.00
Space group Ima2 (No. 46)
Unique sites:
La 0.000 0.000 0.000
La 0.250 0.007 0.907
Y 0.053 0.742 0.307
Y 0.142 0.234 0.111
Y 0.250 0.744 0.111
Er 0.127 0.503 0.951

Peak list (6 most intense, 2θ from 10° to 90°, by angle)
- (4 1 1), 2θ 28.21, I 100
- (0 4 0), 2θ 29.94, I 68
- (0 2 2), 2θ 30.29, I 63
- (5 1 0), 2θ 30.75, I 22
- (2 2 2), 2θ 32.61, I 33
- (4 3 1), 2θ 35.46, I 62


Record 6
Starting from a crystal structure in Alexandria, relaxed with PBE, the X-ray diffraction stick pattern of La7YEr3 was computed for Cu Kα, 1.54184 Å.

Lattice parameters (Å, degrees): 6.000 11.376 11.623 90.00 90.00 90.00
Space group Immm (No. 71)
Unique sites:
La 0.000 0.000 0.000
La 0.000 0.208 0.500
La 0.000 0.306 0.212
Y 0.000 0.500 0.500
Er 0.000 0.000 0.294
Er 0.000 0.500 0.000

Peak list (6 most intense, 2θ from 10° to 90°, by angle)
- (2 0 0), 2θ 29.78, I 67
- (0 0 4), 2θ 30.77, I 33
- (1 2 3), 2θ 31.67, I 90
- (1 3 2), 2θ 31.88, I 100
- (2 0 4), 2θ 43.35, I 26
- (3 3 2), 2θ 54.20, I 22


Record 7
Starting from a crystal structure in Alexandria, relaxed with PBE, the X-ray diffraction stick pattern of La2YEr7 was computed for Cu Kα, 1.54184 Å.

Lattice parameters (Å, degrees): 6.154 6.166 9.434 70.96 71.02 80.33
Space group P-1 (No. 2)
Unique sites:
La 0.099 0.000 0.299
Y 0.000 0.500 0.000
Er 0.202 0.499 0.600
Er 0.302 0.000 0.901
Er 0.402 0.499 0.200
Er 0.500 0.000 0.500

Peak list (6 most intense, 2θ from 10° to 90°, by angle)
- (2 1 1), 2θ 30.75, I 100
- (1 1 -2), 2θ 35.57, I 17
- (1 2 3), 2θ 35.70, I 34
- (3 1 4), 2θ 51.36, I 24
- (2 2 6), 2θ 61.00, I 14
- (3 3 4), 2θ 61.12, I 14


Record 8
Starting from a crystal structure in Alexandria, relaxed with PBE, the X-ray diffraction stick pattern of La2Y3Er9 was computed for Cu Kα, 1.54184 Å.

Lattice parameters (Å, degrees): 5.379 8.363 10.658 96.82 100.38 98.52
Space group P-1 (No. 2)
Unique sites:
La 0.014 0.480 0.241
Y 0.210 0.095 0.336
Y 0.500 0.500 0.000
Er 0.017 0.818 0.067
Er 0.177 0.785 0.512
Er 0.388 0.191 0.698
Er 0.415 0.871 0.865
Er 0.500 0.500 0.500

Peak list (6 most intense, 2θ from 10° to 90°, by angle)
- (-1 1 3), 2θ 30.39, I 42
- (1 -2 2), 2θ 30.76, I 70
- (1 1 2), 2θ 30.86, I 100
- (1 2 -2), 2θ 31.13, I 52
- (0 3 0), 2θ 32.86, I 54
- (0 1 -4), 2θ 34.71, I 40


Record 9
Starting from a crystal structure in Alexandria, relaxed with PBE, the X-ray diffraction stick pattern of LaY14Er was computed for Cu Kα, 1.54184 Å.

Lattice parameters (Å, degrees): 7.159 7.159 10.106 90.00 90.00 90.00
Space group P4/mmm (No. 123)
Unique sites:
La 0.000 0.000 0.000
Y 0.000 0.000 0.500
Y 0.000 0.500 0.000
Y 0.000 0.500 0.500
Y 0.251 0.251 0.251
Y 0.500 0.500 0.500
Er 0.500 0.500 0.000

Peak list (6 most intense, 2θ from 10° to 90°, by angle)
- (2 0 2), 2θ 30.61, I 100
- (2 2 0), 2θ 35.49, I 50
- (4 0 0), 2θ 51.06, I 35
- (4 2 2), 2θ 60.72, I 41
- (4 0 4), 2θ 63.72, I 12
- (6 0 2), 2θ 83.25, I 16


Record 10
Starting from a crystal structure in Alexandria, relaxed with PBE, the X-ray diffraction stick pattern of La8YEr5 was computed for Cu Kα, 1.54184 Å.

Lattice parameters (Å, degrees): 9.780 9.780 10.413 90.00 90.00 90.00
Space group I-4 (No. 82)
Unique sites:
La 0.068 0.170 0.343
La 0.091 0.320 0.003
Y 0.000 0.000 0.000
Er 0.000 0.500 0.250
Er 0.107 0.299 0.678

Peak list (6 most intense, 2θ from 10° to 90°, by angle)
- (1 0 3), 2θ 27.26, I 48
- (3 0 1), 2θ 28.69, I 63
- (1 3 0), 2θ 28.87, I 69
- (2 1 3), 2θ 32.94, I 100
- (1 3 2), 2θ 33.71, I 36
- (2 3 1), 2θ 34.16, I 45


Record 11
Starting from a crystal structure in Alexandria, relaxed with PBE, the X-ray diffraction stick pattern of La2Y5Er2 was computed for Cu Kα, 1.54184 Å.

Lattice parameters (Å, degrees): 20.400 3.497 8.695 90.00 101.75 90.00
Space group C2/m (No. 12)
Unique sites:
La 0.103 0.000 0.330
Y 0.000 0.500 0.000
Y 0.057 0.500 0.669
Y 0.220 0.500 0.650
Er 0.179 0.500 0.027

Peak list (6 most intense, 2θ from 10° to 90°, by angle)
- (1 1 1), 2θ 28.29, I 62
- (6 0 -2), 2θ 30.54, I 100
- (6 0 1), 2θ 30.77, I 85
- (0 0 3), 2θ 31.53, I 85
- (1 1 -2), 2θ 32.87, I 75
- (5 1 0), 2θ 34.07, I 79


Record 12
Starting from a crystal structure in Alexandria, relaxed with PBE, the X-ray diffraction stick pattern of La4YEr4 was computed for Cu Kα, 1.54184 Å.

Lattice parameters (Å, degrees): 11.374 6.944 8.901 90.00 116.56 90.00
Space group Cm (No. 8)
Unique sites:
La 0.000 0.000 0.000
La 0.105 0.500 0.088
La 0.220 0.220 0.476
Y 0.062 0.500 0.669
Er 0.289 0.000 0.867
Er 0.392 0.236 0.252
Er 0.490 0.500 0.603

Peak list (6 most intense, 2θ from 10° to 90°, by angle)
- (0 2 1), 2θ 28.04, I 87
- (3 1 0), 2θ 29.31, I 45
- (2 0 -3), 2θ 30.23, I 94
- (4 0 -1), 2θ 31.79, I 54
- (2 2 -2), 2θ 33.60, I 100
- (2 0 2), 2θ 34.26, I 58


Record 13
Starting from a crystal structure in Alexandria, relaxed with PBE, the X-ray diffraction stick pattern of La4Y3Er4 was computed for Cu Kα, 1.54184 Å.

Lattice parameters (Å, degrees): 36.478 5.671 3.618 90.00 95.59 90.00
Space group C2/m (No. 12)
Unique sites:
La 0.052 0.000 0.055
La 0.177 0.500 0.178
Y 0.000 0.500 0.500
Y 0.146 0.000 0.649
Er 0.093 0.500 0.595
Er 0.235 0.000 0.235

Peak list (6 most intense, 2θ from 10° to 90°, by angle)
- (6 0 -1), 2θ 27.54, I 27
- (11 1 0), 2θ 31.36, I 100
- (0 2 0), 2θ 31.55, I 59
- (5 1 1), 2θ 32.88, I 94
- (16 2 1), 2θ 59.95, I 25
- (13 1 -2), 2θ 60.61, I 31